Diffraction record for BaSnBi4. The powder X-ray diffraction pattern is simulated, not measured: it uses the GGA-PBE geometry in Alexandria and Cu Kα (λ = 1.5418 Å).
Kinematic intensities with the Lorentz-polarization factor, no thermal factor.

Principal peaks in the range 2θ = 10–90°, most intense first:
2θ/deg, Rel. int.
33.42, 100
25.76, 96
26.85, 91
30.25, 79
18.08, 61
35.67, 61
28.05, 49
31.22, 40

```
data_BaSnBi4
_chemical_formula_sum 'Ba2 Sn2 Bi8'
_cell_length_a 6.799
_cell_length_b 7.009
_cell_length_c 10.209
_cell_angle_alpha 72.50
_cell_angle_beta 77.32
_cell_angle_gamma 81.64
_symmetry_space_group_name_H-M 'P 1'
_symmetry_Int_Tables_number 1
loop_
_symmetry_equiv_pos_as_xyz
'x,y,z'
loop_
_atom_site_label
_atom_site_fract_x
_atom_site_fract_y
_atom_site_fract_z
Ba1 0.218 0.236 0.497
Ba2 0.782 0.764 0.503
Sn1 0.000 0.500 0.000
Sn2 0.500 0.000 0.000
Bi1 0.016 0.038 0.152
Bi2 0.251 0.642 0.683
Bi3 0.343 0.805 0.345
Bi4 0.361 0.536 0.134
Bi5 0.639 0.464 0.866
Bi6 0.657 0.195 0.655
Bi7 0.749 0.358 0.317
Bi8 0.984 0.962 0.848
```